Starting from a crystal structure in Alexandria, relaxed with GGA-PBE, the powder diffractogram of Na5B7C3 was computed for Cu Kα (weighted mean of Kα1 and Kα2).

The 12 most intense peaks (15° ≤ 2θ ≤ 90°), in order of rising 2θ:
2theta  I/Imax  hkl
34.9  12  2 0 -1
36.4  16  1 0 -3
40.9  48  2 2 -1
42.0  38  0 4 0
42.2  100  1 2 2
56.8  9  1 4 -3
63.5  18  3 0 1
66.4  8  0 0 5
76.9  13  1 6 2
77.4  7  4 2 -2
79.1  17  3 4 1
81.8  8  0 4 5

Structural model:
Unit cell a=5.1487 b=8.6010 c=7.4947 alpha=90.00 beta=110.07 gamma=90.00
Sites, in units of the cell vectors:
1 Na 0.0000 0.0000 0.0000
2 Na 0.0000 0.5000 0.0000
3 Na 0.2004 0.0005 0.3991
4 Na 0.2004 0.4995 0.3991
5 Na 0.4019 0.0000 0.7994
6 Na 0.4019 0.5000 0.7994
7 Na 0.5981 0.0000 0.2006
8 Na 0.5981 0.5000 0.2006
9 Na 0.7996 0.5005 0.6009
10 Na 0.7996 0.9995 0.6009
11 B 0.0363 0.2500 0.7995
12 B 0.1498 0.2500 0.6033
13 B 0.1515 0.7500 0.6070
14 B 0.2550 0.2500 0.2062
15 B 0.3195 0.7500 0.9987
16 B 0.3464 0.2500 0.9968
17 B 0.4793 0.2500 0.5986
18 B 0.5207 0.7500 0.4014
19 B 0.6536 0.7500 0.0032
20 B 0.6805 0.2500 0.0013
21 B 0.7450 0.7500 0.7938
22 B 0.8485 0.2500 0.3930
23 B 0.8502 0.7500 0.3967
24 B 0.9637 0.7500 0.2005
25 C 0.0598 0.7500 0.7976
26 C 0.2599 0.7500 0.2000
27 C 0.4620 0.7500 0.6024
28 C 0.5380 0.2500 0.3976
29 C 0.7401 0.2500 0.8000
30 C 0.9402 0.2500 0.2024